[1]
The following is a theoretical powder X-ray diffraction pattern of Na2TiSi4H4O13. It was derived from a PBE-relaxed structure, using Cu Kα, 1.54184 Å.
Intensities are scaled so that the largest is 100.

Main lines, by angle (15 to 90 degrees two-theta):
two_theta, I_rel
16.30, 60
20.24, 68
24.56, 29
25.33, 100
27.38, 18
28.07, 92
34.12, 29
34.57, 54
43.35, 18
51.39, 18

Crystal structure
Lattice parameters (Å, degrees): 7.432 7.432 10.874 90.00 90.00 90.00
Space group P42_12 (No. 90)
Symmetry-distinct sites (fractional):
Na (0.000, 0.000, 0.168)
Ti (0.000, 0.500, 0.220)
Si (0.180, 0.741, 0.644)
H (0.128, 0.279, 0.014)
O (0.000, 0.500, 0.060)
O (0.036, 0.248, 0.673)
O (0.117, 0.729, 0.264)
O (0.149, 0.149, 0.000)
O (0.215, 0.785, 0.500)


[2]
The following is a theoretical powder X-ray diffraction pattern of Na2TiSi4H4O13. It was derived from a PBE-relaxed structure, using Cu Kα, 1.54184 Å.
Intensities are scaled so that the largest is 100.

Main lines, by angle (15 to 90 degrees two-theta):
two_theta, I_rel
16.55, 83
21.34, 29
22.07, 59
25.92, 25
26.50, 100
28.21, 41
30.76, 93
32.74, 34
33.14, 83
53.32, 24

Crystal structure
Lattice parameters (Å, degrees): 9.020 8.857 7.462 90.00 112.62 90.00
Space group P2_1/c (No. 14)
Symmetry-distinct sites (fractional):
Na (0.197, 0.189, 0.212)
Ti (0.000, 0.000, 0.500)
Si (0.160, 0.661, 0.698)
Si (0.315, 0.559, 0.406)
H (0.334, 0.112, 0.600)
H (0.482, 0.205, 0.588)
O (0.022, 0.720, 0.070)
O (0.103, 0.539, 0.818)
O (0.212, 0.038, 0.714)
O (0.235, 0.553, 0.570)
O (0.317, 0.739, 0.346)
O (0.364, 0.198, 0.535)
O (0.500, 0.000, 0.000)